For KMg14Fe, a DFT-relaxed cell (GGA-PBE, Alexandria) gives the calculated powder XRD pattern in this record (Cu Kα X-rays).

```
KMg14Fe
1.0
6.433 0.000 0.000
-3.217 5.572 0.000
0.000 0.000 10.420
K Mg Fe
1 14 1
Direct
0.000 0.000 0.000
0.010 0.505 0.000
0.164 0.328 0.273
0.164 0.328 0.727
0.164 0.836 0.273
0.164 0.836 0.727
0.495 0.505 0.000
0.495 0.990 0.000
0.505 0.009 0.500
0.505 0.495 0.500
0.667 0.333 0.240
0.667 0.333 0.760
0.672 0.836 0.273
0.672 0.836 0.727
0.991 0.495 0.500
0.000 0.000 0.500
```

Most intense lines, 2θ = 10–80°, sorted by position:
2θ (°)	I (rel.)	index
15.9	7.2	1 0 0
23.4	4.8	1 0 2
32.1	25.4	2 0 0
34.4	24.0	0 0 4
36.6	100.0	2 0 2
47.8	14.8	2 0 4
57.3	17.2	2 2 0
63.1	14.7	2 0 6
68.6	17.0	2 2 4
69.9	13.2	4 0 2

***

For K2FeMo, a DFT-relaxed cell (GGA-PBE, Alexandria) gives the calculated powder XRD pattern in this record (Cu Kα X-rays).

```
K2FeMo
1.0
3.186 0.000 0.000
0.000 3.468 0.000
-0.023 0.000 10.451
K Fe Mo
2 1 1
Direct
0.000 0.000 0.000
0.475 0.500 0.412
0.998 0.000 0.679
0.499 0.500 0.727
```

Most intense lines, 2θ = 10–80°, sorted by position:
2θ (°)	I (rel.)	index
17.0	40.3	0 0 2
25.6	100.0	0 0 3
30.9	26.9	0 1 2
32.9	22.7	1 0 2
34.3	31.1	0 0 4
36.6	29.4	0 1 3
38.3	25.6	1 0 -3
38.4	89.8	1 1 0
39.4	53.3	1 1 -1
46.7	71.1	1 1 3